Structure and computed XRD peak list of Tb5Nd7Ho (the GGA-PBE geometry in Alexandria; Cu Kα, 1.54184 Å).

Principal peaks in the range 15 to 90 degrees two-theta, in order of rising 2θ:
d/Å, I/Imax
3.309, 35
2.942, 74
2.927, 49
2.903, 54
2.884, 97
2.848, 29
2.603, 100
2.563, 35
1.655, 34
1.625, 45

Cell and atoms:
```
data_Tb5Nd7Ho
_chemical_formula_sum 'Tb10 Nd14 Ho2'
_space_group_name_H-M_alt 'I m m 2'
_space_group_IT_number 44
_space_group_name_Hall 'I 2 -2'
_cell_length_a 6.7480
_cell_length_b 11.3915
_cell_length_c 11.7698
_cell_angle_alpha 90.00
_cell_angle_beta 90.00
_cell_angle_gamma 90.00
loop_
_atom_site_label
_atom_site_type_symbol
_atom_site_fract_x
_atom_site_fract_y
_atom_site_fract_z
Tb1 Tb 0.0000 0.0000 0.0000
Tb2 Tb 0.2319 0.2712 0.5043
Nd1 Nd 0.0000 0.0000 0.4988
Nd2 Nd 0.0000 0.1711 0.2501
Nd3 Nd 0.0000 0.1743 0.7536
Nd4 Nd 0.0000 0.5000 0.3084
Nd5 Nd 0.0000 0.5000 0.9973
Ho1 Ho 0.0000 0.5000 0.6867
```

Structure and computed XRD peak list of Tb2Nd7Ho2 (the GGA-PBE geometry in Alexandria; Cu Kα, 1.54184 Å).

Principal peaks in the range 15 to 90 degrees two-theta, in order of rising 2θ:
d/Å, I/Imax
3.544, 17
2.933, 23
2.881, 100
2.867, 33
2.669, 52
2.033, 14
1.830, 12
1.712, 9
1.658, 9
1.500, 10

Cell and atoms:
```
data_Tb2Nd7Ho2
_chemical_formula_sum 'Tb4 Nd14 Ho4'
_space_group_name_H-M_alt 'C 1 2/m 1'
_space_group_IT_number 12
_space_group_name_Hall '-C 2y'
_cell_length_a 11.6057
_cell_length_b 11.4692
_cell_length_c 6.1111
_cell_angle_alpha 90.00
_cell_angle_beta 111.97
_cell_angle_gamma 90.00
loop_
_atom_site_label
_atom_site_type_symbol
_atom_site_fract_x
_atom_site_fract_y
_atom_site_fract_z
Tb1 Tb 0.0000 0.2185 0.0000
Nd1 Nd 0.0000 0.0000 0.5000
Nd2 Nd 0.1816 0.2285 0.6768
Nd3 Nd 0.2324 0.0000 0.1008
Ho1 Ho 0.0785 0.5000 0.2982
```

Structure and computed XRD peak list of Tb7Nd6Ho16 (the GGA-PBE geometry in Alexandria; Cu Kα, 1.54184 Å).

Principal peaks in the range 15 to 90 degrees two-theta, in order of rising 2θ:
d/Å, I/Imax
3.224, 6
3.040, 11
2.792, 100
2.670, 6
2.632, 6
2.056, 5
1.974, 14
1.612, 26
1.396, 7
1.249, 7

Cell and atoms:
```
data_Tb7Nd6Ho16
_chemical_formula_sum 'Tb28 Nd24 Ho64'
_space_group_name_H-M_alt 'F m -3 m'
_space_group_IT_number 225
_space_group_name_Hall '-F 4 2 3'
_cell_length_a 15.7941
_cell_length_b 15.7941
_cell_length_c 15.7941
_cell_angle_alpha 90.00
_cell_angle_beta 90.00
_cell_angle_gamma 90.00
loop_
_atom_site_label
_atom_site_type_symbol
_atom_site_fract_x
_atom_site_fract_y
_atom_site_fract_z
Tb1 Tb 0.0000 0.0000 0.0000
Tb2 Tb 0.0000 0.2500 0.2500
Nd1 Nd 0.0000 0.0000 0.2708
Ho1 Ho 0.1270 0.1270 0.1270
Ho2 Ho 0.1509 0.1509 0.3491
```